Theoretical powder diffraction line list
Compound: Na2CeBeSe4
Radiation: λ = 1.5418 Å (Cu Kα)
Structure: a structure optimized by DFT (PBE)
Intensities are scaled so that the largest is 100.

Main lines, by angle (2θ = 10–80°):
2θ (°), Rel. int.
13.5, 87.0
15.0, 34.9
30.1, 100.0
30.3, 98.4
31.9, 50.4
35.4, 32.3
43.3, 71.7
44.6, 44.9

Cell: 11.2424 11.7979 7.8952 Å, 90.00 131.33 90.00°
Space group C2/c (No. 15)
Inequivalent atoms, fractional coordinates:
1 Na 0.0000 0.0000 0.0000 x4
2 Na 0.2500 0.2500 0.0000 x4
3 Ce 0.2500 0.2500 0.5000 x4
4 Be 0.0000 0.5000 0.0000 x4
5 Se 0.0066 0.2438 0.0165 x8
6 Se 0.1974 0.4936 0.5013 x8